Structure and calculated powder XRD pattern of MnAg4F8 (a DFT-relaxed cell (PBE+U, Alexandria); λ = 1.5418 Å (Cu Kα)).
Kinematic intensities with the Lorentz-polarization factor, no thermal factor.

Atomic structure:
```
data_MnAg4F8
_chemical_formula_sum 'Mn3 Ag12 F24'
_cell_length_a 6.9673
_cell_length_b 6.9673
_cell_length_c 16.2157
_cell_angle_alpha 90.00
_cell_angle_beta 90.00
_cell_angle_gamma 120.00
_space_group_name_H-M_alt 'R -3 m'
_space_group_IT_number 166
_space_group_name_Hall '-R 3 2"'
loop_
_atom_site_label
_atom_site_type_symbol
_atom_site_fract_x
_atom_site_fract_y
_atom_site_fract_z
Mn1 Mn 0.0000 0.0000 0.0000
Ag1 Ag 0.0000 0.0000 0.5000
Ag2 Ag 0.0000 0.5000 0.5000
F1 F 0.0000 0.0000 0.2233
F2 F 0.0515 0.5257 0.7415
```

Principal peaks in the range 2θ = 10–90°, low angle first:
2theta  d/Å  I_rel  hkl
15.67  5.655  19  1 0 1
16.40  5.405  97  0 0 3
30.13  2.966  66  0 2 1
31.64  2.828  49  2 0 2
37.15  2.420  100  0 2 4
40.85  2.209  29  2 0 5
52.54  1.742  33  2 2 0
54.54  1.682  27  2 0 8
55.42  1.658  23  2 2 3
63.55  1.464  16  2 2 6